Entry 1:
The following is a calculated powder X-ray diffraction pattern of K17Rb11Tl. It was derived from a GGA-PBE-relaxed structure, using a wavelength of 1.5418 Å.
Lines closer than 0.1° are merged.

Crystal structure
```
data_K17Rb11Tl
_chemical_formula_sum 'K34 Rb22 Tl2'
_cell_length_a 16.504
_cell_length_b 23.628
_cell_length_c 13.697
_cell_angle_alpha 90.00
_cell_angle_beta 123.64
_cell_angle_gamma 90.00
_space_group_name_H-M_alt 'C 1 m 1'
_space_group_IT_number 8
loop_
_space_group_symop_operation_xyz
'x,y,z'
'x,-y,z'
'x+1/2,y+1/2,z'
'x+1/2,-y+1/2,z'
loop_
_atom_site_label
_atom_site_type_symbol
_atom_site_fract_x
_atom_site_fract_y
_atom_site_fract_z
_atom_site_occupancy
K1 K 0.000 0.000 0.000 1
K2 K 0.006 0.382 0.947 1
K3 K 0.083 0.500 0.284 1
K4 K 0.154 0.203 0.658 1
K5 K 0.261 0.000 0.683 1
K6 K 0.287 0.300 0.003 1
K7 K 0.289 0.349 0.384 1
K8 K 0.338 0.000 0.371 1
K9 K 0.381 0.148 0.576 1
K10 K 0.455 0.500 0.627 1
K11 K 0.489 0.192 0.325 1
Rb1 Rb 0.026 0.094 0.340 1
Rb2 Rb 0.143 0.199 0.177 1
Rb3 Rb 0.169 0.410 0.670 1
Rb4 Rb 0.238 0.500 0.039 1
Rb5 Rb 0.258 0.094 0.993 1
Rb6 Rb 0.445 0.312 0.781 1
Tl1 Tl 0.496 0.000 0.723 1
```

Top 6 peaks for 10° ≤ 2θ ≤ 90°, in order of rising 2θ:
| h k l | 2θ (°) | Rel. int. |
| --- | --- | --- |
| 1 1 1 | 13.1 | 79.0 |
| 1 5 1 | 22.6 | 62.6 |
| 1 3 2 | 22.9 | 88.7 |
| 1 5 -2 | 23.0 | 75.8 |
| 0 0 3 | 23.4 | 99.5 |
| 2 0 2 | 25.3 | 100.0 |

=====

Entry 2:
The following is a calculated powder X-ray diffraction pattern of Rb4Sn2Bi5. It was derived from a GGA-PBE-relaxed structure, using a wavelength of 1.5418 Å.
Lines closer than 0.1° are merged.

Crystal structure
```
data_Rb4Sn2Bi5
_chemical_formula_sum 'Rb4 Sn2 Bi5'
_cell_length_a 8.430
_cell_length_b 5.881
_cell_length_c 9.657
_cell_angle_alpha 90.00
_cell_angle_beta 92.17
_cell_angle_gamma 90.00
_space_group_name_H-M_alt 'P 1 2/m 1'
_space_group_IT_number 10
loop_
_space_group_symop_operation_xyz
'x,y,z'
'-x,-y,-z'
'-x,y,-z'
'x,-y,z'
loop_
_atom_site_label
_atom_site_type_symbol
_atom_site_fract_x
_atom_site_fract_y
_atom_site_fract_z
_atom_site_occupancy
Rb1 Rb 0.229 0.000 0.126 1
Rb2 Rb 0.271 0.000 0.631 1
Sn1 Sn 0.427 0.500 0.866 1
Bi1 Bi 0.000 0.500 0.500 1
Bi2 Bi 0.080 0.500 0.845 1
Bi3 Bi 0.369 0.500 0.386 1
```

Top 6 peaks for 10° ≤ 2θ ≤ 90°, in order of rising 2θ:
| h k l | 2θ (°) | Rel. int. |
| --- | --- | --- |
| 0 1 0 | 15.1 | 100.0 |
| 1 1 -2 | 25.8 | 53.1 |
| 2 1 0 | 26.0 | 52.7 |
| 1 1 2 | 26.4 | 65.0 |
| 0 2 0 | 30.4 | 60.4 |
| 3 0 2 | 37.7 | 29.4 |

=====

Entry 3:
The following is a calculated powder X-ray diffraction pattern of LiY6Pd2. It was derived from a GGA-PBE-relaxed structure, using a wavelength of 1.5418 Å.
Lines closer than 0.1° are merged.

Crystal structure
```
data_LiY6Pd2
_chemical_formula_sum 'Li2 Y12 Pd4'
_cell_length_a 14.011
_cell_length_b 4.035
_cell_length_c 10.414
_cell_angle_alpha 90.00
_cell_angle_beta 125.60
_cell_angle_gamma 90.00
_space_group_name_H-M_alt 'C 1 2/m 1'
_space_group_IT_number 12
loop_
_space_group_symop_operation_xyz
'x,y,z'
'-x,-y,-z'
'-x,y,-z'
'x,-y,z'
'x+1/2,y+1/2,z'
'-x+1/2,-y+1/2,-z'
'-x+1/2,y+1/2,-z'
'x+1/2,-y+1/2,z'
loop_
_atom_site_label
_atom_site_type_symbol
_atom_site_fract_x
_atom_site_fract_y
_atom_site_fract_z
_atom_site_occupancy
Li1 Li 0.000 0.000 0.000 1
Y1 Y 0.019 0.000 0.680 1
Y2 Y 0.164 0.500 0.025 1
Y3 Y 0.219 0.500 0.622 1
Pd1 Pd 0.095 0.500 0.247 1
```

Top 6 peaks for 10° ≤ 2θ ≤ 90°, in order of rising 2θ:
| h k l | 2θ (°) | Rel. int. |
| --- | --- | --- |
| 3 1 -1 | 29.4 | 57.3 |
| 3 1 0 | 32.4 | 100.0 |
| 3 1 -3 | 34.5 | 84.8 |
| 4 0 -4 | 35.1 | 54.1 |
| 6 0 -2 | 39.1 | 63.4 |
| 0 2 0 | 44.9 | 45.7 |

=====

Entry 4:
The following is a calculated powder X-ray diffraction pattern of Tl4Hg8Sb. It was derived from a GGA-PBE-relaxed structure, using a wavelength of 1.5418 Å.
Lines closer than 0.1° are merged.

Crystal structure
```
data_Tl4Hg8Sb
_chemical_formula_sum 'Tl4 Hg8 Sb1'
_cell_length_a 4.723
_cell_length_b 5.678
_cell_length_c 14.846
_cell_angle_alpha 90.00
_cell_angle_beta 90.00
_cell_angle_gamma 90.00
_space_group_name_H-M_alt 'P m m 2'
_space_group_IT_number 25
loop_
_space_group_symop_operation_xyz
'x,y,z'
'-x,-y,z'
'-x,y,z'
'x,-y,z'
loop_
_atom_site_label
_atom_site_type_symbol
_atom_site_fract_x
_atom_site_fract_y
_atom_site_fract_z
_atom_site_occupancy
Tl1 Tl 0.000 0.000 0.000 1
Tl2 Tl 0.000 0.500 0.140 1
Tl3 Tl 0.500 0.000 0.422 1
Tl4 Tl 0.500 0.500 0.628 1
Hg1 Hg 0.000 0.000 0.279 1
Hg2 Hg 0.000 0.000 0.557 1
Hg3 Hg 0.000 0.500 0.452 1
Hg4 Hg 0.000 0.500 0.796 1
Hg5 Hg 0.500 0.000 0.148 1
Hg6 Hg 0.500 0.000 0.865 1
Hg7 Hg 0.500 0.500 0.299 1
Hg8 Hg 0.500 0.500 0.964 1
Sb1 Sb 0.000 0.000 0.751 1
```

Top 6 peaks for 10° ≤ 2θ ≤ 90°, in order of rising 2θ:
| h k l | 2θ (°) | Rel. int. |
| --- | --- | --- |
| 1 1 3 | 30.5 | 100.0 |
| 0 2 0 | 31.5 | 36.0 |
| 1 1 4 | 34.6 | 24.3 |
| 2 0 0 | 38.1 | 21.8 |
| 2 2 0 | 50.3 | 19.9 |
| 1 3 3 | 55.5 | 16.7 |

=====

Entry 5:
The following is a calculated powder X-ray diffraction pattern of SrZrTa2Mn. It was derived from a GGA-PBE-relaxed structure, using a wavelength of 1.5418 Å.
Lines closer than 0.1° are merged.

Crystal structure
```
data_SrZrTa2Mn
_chemical_formula_sum 'Sr1 Zr1 Ta2 Mn1'
_cell_length_a 4.764
_cell_length_b 4.764
_cell_length_c 5.056
_cell_angle_alpha 90.00
_cell_angle_beta 90.00
_cell_angle_gamma 90.00
_space_group_name_H-M_alt 'P 4/m m m'
_space_group_IT_number 123
_space_group_name_Hall '-P 4 2'
loop_
_atom_site_label
_atom_site_type_symbol
_atom_site_fract_x
_atom_site_fract_y
_atom_site_fract_z
_atom_site_occupancy
Sr1 Sr 0.000 0.000 0.000 1
Zr1 Zr 0.500 0.500 0.000 1
Ta1 Ta 0.000 0.500 0.500 1
Mn1 Mn 0.500 0.500 0.500 1
```

Top 6 peaks for 10° ≤ 2θ ≤ 90°, in order of rising 2θ:
| h k l | 2θ (°) | Rel. int. |
| --- | --- | --- |
| 0 0 1 | 17.5 | 24.3 |
| 1 1 1 | 31.9 | 100.0 |
| 0 0 2 | 35.5 | 28.6 |
| 2 0 0 | 37.8 | 48.3 |
| 2 0 2 | 52.8 | 36.5 |
| 3 1 1 | 64.6 | 26.9 |

=====

Entry 6:
The following is a calculated powder X-ray diffraction pattern of Tb7DyTm5. It was derived from a GGA-PBE-relaxed structure, using a wavelength of 1.5418 Å.
Lines closer than 0.1° are merged.

Crystal structure
```
data_Tb7DyTm5
_chemical_formula_sum 'Tb14 Dy2 Tm10'
_cell_length_a 6.603
_cell_length_b 11.185
_cell_length_c 11.408
_cell_angle_alpha 90.00
_cell_angle_beta 90.00
_cell_angle_gamma 90.00
_space_group_name_H-M_alt 'I m m 2'
_space_group_IT_number 44
loop_
_space_group_symop_operation_xyz
'x,y,z'
'-x,-y,z'
'-x,y,z'
'x,-y,z'
'x+1/2,y+1/2,z+1/2'
'-x+1/2,-y+1/2,z+1/2'
'-x+1/2,y+1/2,z+1/2'
'x+1/2,-y+1/2,z+1/2'
loop_
_atom_site_label
_atom_site_type_symbol
_atom_site_fract_x
_atom_site_fract_y
_atom_site_fract_z
_atom_site_occupancy
Tb1 Tb 0.000 0.000 0.000 1
Tb2 Tb 0.000 0.000 0.307 1
Tb3 Tb 0.000 0.327 0.750 1
Tb4 Tb 0.000 0.328 0.252 1
Tb5 Tb 0.000 0.500 0.001 1
Dy1 Dy 0.000 0.000 0.693 1
Tm1 Tm 0.000 0.500 0.501 1
Tm2 Tm 0.235 0.229 0.501 1
```

Top 6 peaks for 10° ≤ 2θ ≤ 90°, in order of rising 2θ:
| h k l | 2θ (°) | Rel. int. |
| --- | --- | --- |
| 1 3 0 | 27.5 | 28.7 |
| 0 0 4 | 31.3 | 100.0 |
| 2 2 0 | 31.5 | 58.6 |
| 1 3 2 | 31.7 | 78.6 |
| 2 2 2 | 35.3 | 90.2 |
| 2 2 6 | 58.4 | 36.8 |

=====

Please write out number 4 again, unchanged.
The following is a calculated powder X-ray diffraction pattern of Tl4Hg8Sb. It was derived from a GGA-PBE-relaxed structure, using a wavelength of 1.5418 Å.
Lines closer than 0.1° are merged.

Crystal structure
```
data_Tl4Hg8Sb
_chemical_formula_sum 'Tl4 Hg8 Sb1'
_cell_length_a 4.723
_cell_length_b 5.678
_cell_length_c 14.846
_cell_angle_alpha 90.00
_cell_angle_beta 90.00
_cell_angle_gamma 90.00
_space_group_name_H-M_alt 'P m m 2'
_space_group_IT_number 25
loop_
_space_group_symop_operation_xyz
'x,y,z'
'-x,-y,z'
'-x,y,z'
'x,-y,z'
loop_
_atom_site_label
_atom_site_type_symbol
_atom_site_fract_x
_atom_site_fract_y
_atom_site_fract_z
_atom_site_occupancy
Tl1 Tl 0.000 0.000 0.000 1
Tl2 Tl 0.000 0.500 0.140 1
Tl3 Tl 0.500 0.000 0.422 1
Tl4 Tl 0.500 0.500 0.628 1
Hg1 Hg 0.000 0.000 0.279 1
Hg2 Hg 0.000 0.000 0.557 1
Hg3 Hg 0.000 0.500 0.452 1
Hg4 Hg 0.000 0.500 0.796 1
Hg5 Hg 0.500 0.000 0.148 1
Hg6 Hg 0.500 0.000 0.865 1
Hg7 Hg 0.500 0.500 0.299 1
Hg8 Hg 0.500 0.500 0.964 1
Sb1 Sb 0.000 0.000 0.751 1
```

Top 6 peaks for 10° ≤ 2θ ≤ 90°, in order of rising 2θ:
| h k l | 2θ (°) | Rel. int. |
| --- | --- | --- |
| 1 1 3 | 30.5 | 100.0 |
| 0 2 0 | 31.5 | 36.0 |
| 1 1 4 | 34.6 | 24.3 |
| 2 0 0 | 38.1 | 21.8 |
| 2 2 0 | 50.3 | 19.9 |
| 1 3 3 | 55.5 | 16.7 |